Diffraction record for LiMgI2O8. The X-ray diffraction stick pattern is theoretical, not measured: it uses a crystal structure in Alexandria, relaxed with GGA-PBE and Cu Kα (λ = 1.5418 Å).

Cell and atoms:
```
LiMgI2O8
1.0
-3.532 3.532 3.330
3.532 -3.532 3.330
3.532 3.532 -3.330
Li Mg I O
1 1 2 8
Direct
0.000 0.000 0.000 Li
0.750 0.250 0.500 Mg
0.250 0.750 0.500 I
0.500 0.500 0.000 I
0.072 0.378 0.306 O
0.072 0.765 0.694 O
0.118 0.321 0.797 O
0.235 0.928 0.306 O
0.524 0.321 0.203 O
0.622 0.928 0.694 O
0.679 0.476 0.797 O
0.679 0.882 0.203 O
```

Most intense lines, 2θ from 10° to 90°, sorted by position:
2theta, d/Å, I (rel.)
18.3, 4.846, 100
25.2, 3.532, 86
31.3, 2.855, 84
32.3, 2.771, 67
49.1, 1.855, 56
50.2, 1.816, 20
51.8, 1.766, 17
55.4, 1.659, 12
62.3, 1.489, 17
63.3, 1.469, 13

=====

Diffraction record for Rb2LiMgI6. The X-ray diffraction stick pattern is theoretical, not measured: it uses a crystal structure in Alexandria, relaxed with GGA-PBE and Cu Kα (λ = 1.5418 Å).

Cell and atoms:
```
Rb2LiMgI6
1.0
7.378 0.000 0.000
-3.680 7.595 0.000
-3.683 -2.832 7.284
Rb Li Mg I
2 1 1 6
Direct
0.000 0.000 0.000 Rb
0.003 0.491 0.513 Rb
0.524 0.213 0.834 Li
0.494 0.729 0.258 Mg
0.008 0.969 0.545 I
0.425 0.443 0.406 I
0.500 0.967 0.544 I
0.503 0.534 0.961 I
0.576 0.051 0.102 I
0.995 0.533 0.961 I
```

Most intense lines, 2θ from 10° to 90°, sorted by position:
2theta, d/Å, I (rel.)
23.1, 3.857, 28
24.4, 3.642, 45
25.2, 3.539, 60
28.0, 3.191, 100
28.1, 3.178, 36
31.4, 2.846, 15
31.8, 2.813, 79
42.5, 2.128, 16
43.4, 2.086, 27
44.2, 2.047, 22